Entry 1:
Calculated PXRD pattern
Compound: Ti4Be
Radiation: copper Kα
Structure: a cell relaxed with PBE
Intensities are scaled so that the largest is 100.

Atomic structure:
abc: 4.427 4.427 4.427
angles: 90.00 90.00 90.00
Space group Pm-3m (No. 221)
Unique sites:
Ti1 0.000 0.000 0.000 [1 per cell]
Ti2 0.000 0.500 0.500 [3 per cell]
Be1 0.500 0.500 0.500 [1 per cell]

Top 6 peaks for 2θ from 10° to 80°, sorted by position:
two_theta, I/Imax
20.1, 0.5
35.1, 100.0
40.8, 54.4
59.0, 32.8
70.6, 31.8
74.2, 10.4



Entry 2:
Calculated PXRD pattern
Compound: Hg2Au3O8
Radiation: copper Kα
Structure: a cell relaxed with PBE
Intensities are scaled so that the largest is 100.

Atomic structure:
abc: 10.966 6.381 5.964
angles: 90.00 113.83 90.00
Space group C2/m (No. 12)
Unique sites:
Hg1 0.189 0.000 0.149 [4 per cell]
Au1 0.000 0.250 0.500 [4 per cell]
Au2 0.000 0.500 0.000 [2 per cell]
O1 0.088 0.271 0.877 [8 per cell]
O2 0.120 0.000 0.498 [4 per cell]
O3 0.124 0.500 0.503 [4 per cell]

Top 10 peaks for 2θ from 10° to 80°, sorted by position:
two_theta, I/Imax
17.7, 42.5
25.6, 53.0
28.7, 100.0
30.2, 64.4
30.3, 79.0
32.5, 86.6
33.3, 41.7
33.8, 67.1
54.3, 38.2
54.4, 40.6



Entry 3:
Calculated PXRD pattern
Compound: BNCl2
Radiation: copper Kα
Structure: a cell relaxed with PBE
Intensities are scaled so that the largest is 100.

Atomic structure:
abc: 9.2458 9.2458 11.5344
angles: 90.00 90.00 120.00
Space group R3 (No. 146, hexagonal axes)
Unique sites:
B1 0.1807 0.1218 0.0000 [9 per cell]
N1 0.0564 0.1730 0.0003 [9 per cell]
Cl1 0.0611 0.5996 0.3318 [9 per cell]
Cl2 0.1237 0.3825 0.0011 [9 per cell]

Top 10 peaks for 2θ from 10° to 80°, sorted by position:
two_theta, I/Imax
13.5, 24.0
19.0, 10.9
19.2, 13.9
23.1, 100.0
30.5, 56.9
33.4, 43.4
41.4, 11.9
43.3, 18.9
47.3, 10.5
49.7, 12.0



Entry 4:
Calculated PXRD pattern
Compound: BaInS3
Radiation: copper Kα
Structure: a cell relaxed with PBE
Intensities are scaled so that the largest is 100.

Atomic structure:
abc: 4.229 4.968 6.532
angles: 90.00 90.00 90.00
Space group Pmmm (No. 47)
Unique sites:
Ba1 0.000 0.000 0.000 [1 per cell]
In1 0.000 0.500 0.500 [1 per cell]
S1 0.000 0.000 0.500 [1 per cell]
S2 0.500 0.500 0.167 [2 per cell]

Top 10 peaks for 2θ from 10° to 80°, sorted by position:
two_theta, I/Imax
21.0, 48.3
22.5, 57.2
27.3, 34.6
31.0, 100.0
34.7, 59.0
36.2, 32.0
42.8, 19.5
45.5, 21.6
45.9, 16.5
51.0, 37.7



Entry 5:
Calculated PXRD pattern
Compound: ZrTi3Os4
Radiation: copper Kα
Structure: a cell relaxed with PBE
Intensities are scaled so that the largest is 100.

Atomic structure:
abc: 3.140 4.455 8.891
angles: 90.00 90.00 90.00
Space group Pmmm (No. 47)
Unique sites:
Zr1 0.000 0.000 0.000 [1 per cell]
Ti1 0.000 0.000 0.500 [1 per cell]
Ti2 0.000 0.500 0.256 [2 per cell]
Os1 0.500 0.000 0.260 [2 per cell]
Os2 0.500 0.500 0.000 [1 per cell]
Os3 0.500 0.500 0.500 [1 per cell]

Top 10 peaks for 2θ from 10° to 80°, sorted by position:
two_theta, I/Imax
28.4, 34.4
36.4, 1.0
40.6, 100.0
50.3, 10.1
58.7, 11.0
58.8, 5.6
66.4, 6.8
66.5, 6.7
73.7, 11.4
73.9, 21.9



Entry 6:
Calculated PXRD pattern
Compound: Ac8Sm4Er
Radiation: copper Kα
Structure: a cell relaxed with PBE
Intensities are scaled so that the largest is 100.

Atomic structure:
abc: 11.8039 11.8039 14.4374
angles: 90.00 90.00 120.00
Space group R-3m (No. 166, hexagonal axes)
Unique sites:
Ac1 0.0000 0.0000 0.2412 [6 per cell]
Ac2 0.0113 0.5057 0.7469 [18 per cell]
Sm1 0.0000 0.0000 0.0000 [3 per cell]
Sm2 0.0000 0.5000 0.0000 [9 per cell]
Er1 0.0000 0.0000 0.5000 [3 per cell]

Top 10 peaks for 2θ from 10° to 80°, sorted by position:
two_theta, I/Imax
18.4, 6.8
21.3, 18.0
23.8, 3.9
30.3, 100.0
37.3, 5.8
43.4, 18.8
48.8, 8.0
53.8, 39.7
63.0, 12.2
71.5, 16.6



Entry 7:
Calculated PXRD pattern
Compound: Ca3Ce3YTe8
Radiation: copper Kα
Structure: a cell relaxed with PBE
Intensities are scaled so that the largest is 100.

Atomic structure:
abc: 8.9495 8.9495 22.2746
angles: 90.00 90.00 120.00
Space group R-3m (No. 166, hexagonal axes)
Unique sites:
Ca1 0.0000 0.5000 0.0000 [9 per cell]
Ce1 0.0000 0.5000 0.5000 [9 per cell]
Y1 0.0000 0.0000 0.5000 [3 per cell]
Te1 0.0000 0.0000 0.2518 [6 per cell]
Te2 0.0058 0.5029 0.2494 [18 per cell]

Top 10 peaks for 2θ from 10° to 80°, sorted by position:
two_theta, I/Imax
11.9, 12.8
23.3, 8.6
28.1, 100.0
39.9, 38.4
40.3, 37.2
49.8, 20.0
58.0, 12.6
65.3, 17.4
65.9, 16.9
73.0, 12.4



Entry 8:
Calculated PXRD pattern
Compound: Rh3Se8
Radiation: copper Kα
Structure: a cell relaxed with PBE
Intensities are scaled so that the largest is 100.

Atomic structure:
abc: 6.042 6.049 13.483
angles: 90.00 115.91 90.00
Space group P2_1/c (No. 14)
Unique sites:
Rh1 0.000 0.000 0.000 [2 per cell]
Rh2 0.243 0.016 0.749 [4 per cell]
Se1 0.175 0.119 0.556 [4 per cell]
Se2 0.191 0.107 0.311 [4 per cell]
Se3 0.308 0.625 0.691 [4 per cell]
Se4 0.325 0.611 0.440 [4 per cell]

Top 10 peaks for 2θ from 10° to 80°, sorted by position:
two_theta, I/Imax
16.3, 31.6
29.5, 62.4
29.6, 30.1
33.0, 100.0
33.1, 59.3
36.2, 35.0
36.5, 91.1
42.2, 32.2
49.9, 51.9
50.1, 50.6



Entry 9:
Calculated PXRD pattern
Compound: LiReSiPt2
Radiation: copper Kα
Structure: a cell relaxed with PBE
Intensities are scaled so that the largest is 100.

Atomic structure:
abc: 4.076 4.076 4.373
angles: 90.00 90.00 90.00
Space group P4/mmm (No. 123)
Unique sites:
Li1 0.000 0.000 0.000 [1 per cell]
Re1 0.000 0.000 0.500 [1 per cell]
Si1 0.500 0.500 0.500 [1 per cell]
Pt1 0.000 0.500 0.000 [2 per cell]

Top 10 peaks for 2θ from 10° to 80°, sorted by position:
two_theta, I/Imax
21.8, 14.1
30.0, 11.4
37.4, 100.0
41.3, 19.6
44.5, 31.9
62.3, 23.7
64.7, 10.6
72.7, 14.6
77.1, 24.9
79.7, 11.9



Entry 10:
Calculated PXRD pattern
Compound: YZn7Co5
Radiation: copper Kα
Structure: a cell relaxed with PBE
Intensities are scaled so that the largest is 100.

Atomic structure:
abc: 4.948 8.551 8.597
angles: 90.00 90.00 90.00
Space group Imm2 (No. 44)
Unique sites:
Y1 0.000 0.000 0.000 [2 per cell]
Zn1 0.000 0.000 0.346 [2 per cell]
Zn2 0.000 0.000 0.667 [2 per cell]
Zn3 0.000 0.285 0.515 [4 per cell]
Zn4 0.000 0.346 0.022 [4 per cell]
Zn5 0.000 0.500 0.742 [2 per cell]
Co1 0.000 0.500 0.284 [2 per cell]
Co2 0.247 0.244 0.769 [8 per cell]

Top 10 peaks for 2θ from 10° to 80°, sorted by position:
two_theta, I/Imax
36.3, 36.8
36.4, 24.5
42.1, 70.3
42.2, 100.0
42.3, 26.5
47.3, 21.9
47.5, 80.5
69.3, 17.2
76.9, 22.2
77.2, 18.0



Entry 11:
Calculated PXRD pattern
Compound: AlNi8Pt2
Radiation: copper Kα
Structure: a cell relaxed with PBE
Intensities are scaled so that the largest is 100.

Atomic structure:
abc: 3.774 10.861 6.700
angles: 90.00 90.00 90.00
Space group Imm2 (No. 44)
Unique sites:
Al1 0.000 0.000 0.000 [2 per cell]
Ni1 0.000 0.000 0.576 [2 per cell]
Ni2 0.000 0.153 0.283 [4 per cell]
Ni3 0.000 0.183 0.798 [4 per cell]
Ni4 0.000 0.336 0.521 [4 per cell]
Ni5 0.000 0.500 0.770 [2 per cell]
Pt1 0.000 0.346 0.060 [4 per cell]

Top 10 peaks for 2θ from 10° to 80°, sorted by position:
two_theta, I/Imax
15.5, 25.3
16.3, 11.8
27.1, 11.0
28.0, 10.7
36.8, 14.3
43.2, 15.5
44.0, 100.0
48.2, 21.0
50.4, 16.6
54.8, 11.2



Entry 12:
Calculated PXRD pattern
Compound: Cd4HgPb
Radiation: copper Kα
Structure: a cell relaxed with PBE
Intensities are scaled so that the largest is 100.

Atomic structure:
abc: 6.783 7.075 7.065
angles: 90.00 90.00 90.00
Space group Amm2 (No. 38)
Unique sites:
Cd1 0.236 0.250 0.000 [8 per cell]
Hg1 0.000 0.000 0.250 [2 per cell]
Pb1 0.500 0.000 0.750 [2 per cell]

Top 10 peaks for 2θ from 10° to 80°, sorted by position:
two_theta, I/Imax
22.1, 79.5
35.9, 54.0
36.7, 100.0
42.6, 29.9
43.9, 13.7
51.7, 18.9
58.0, 12.2
65.1, 36.7
66.6, 16.3
78.1, 10.5



Entry 13:
Calculated PXRD pattern
Compound: PmNdCd3
Radiation: copper Kα
Structure: a cell relaxed with PBE
Intensities are scaled so that the largest is 100.

Atomic structure:
abc: 9.679 5.859 10.095
angles: 90.00 105.33 90.00
Space group P2_1/c (No. 14)
Unique sites:
Pm1 0.172 0.220 0.168 [4 per cell]
Nd1 0.256 0.744 0.439 [4 per cell]
Cd1 0.020 0.713 0.129 [4 per cell]
Cd2 0.390 0.243 0.473 [4 per cell]
Cd3 0.485 0.513 0.249 [4 per cell]

Top 10 peaks for 2θ from 10° to 80°, sorted by position:
two_theta, I/Imax
27.4, 13.5
29.7, 20.2
29.8, 19.5
30.5, 24.0
33.5, 100.0
35.6, 43.6
35.8, 26.1
38.4, 18.5
47.6, 14.0
56.2, 17.4